This entry pairs a crystal structure of LaAlO3 with its simulated powder XRD pattern. Radiation: CuKα. Structure: a DFT-relaxed cell (PBE, the Materials Project).
Lines closer than 0.1° are merged.

Principal peaks in the range 2θ = 5–70°, sorted by position:
h k l	2theta	I_rel
0 2 0	23.29	71
2 0 0	33.12	49
1 2 1	33.19	100
2 2 0	40.92	62
2 0 2	47.54	36
0 4 0	47.75	17
3 0 1	53.62	16
1 2 3	59.15	21
0 4 2	59.28	29
4 0 0	69.65	26

Atomic structure:
```
data_LaAlO3
_chemical_formula_sum 'La4 Al4 O12'
_cell_length_a 5.403
_cell_length_b 7.619
_cell_length_c 5.417
_cell_angle_alpha 90.00
_cell_angle_beta 90.00
_cell_angle_gamma 90.00
_space_group_name_H-M_alt 'I m m a'
_space_group_IT_number 74
_space_group_name_Hall '-I 2b 2'
loop_
_atom_site_label
_atom_site_type_symbol
_atom_site_fract_x
_atom_site_fract_y
_atom_site_fract_z
_atom_site_occupancy
La1 La 0.000 0.250 0.001 1
Al1 Al 0.000 0.000 0.500 1
O1 O 0.000 0.250 0.540 1
O2 O 0.250 0.021 0.250 1
```